1.
Structure and simulated powder diffractogram of SbWNO6 (a PBE+U-relaxed structure; copper Kα).
Kinematic intensities with the Lorentz-polarization factor, no thermal factor.

Cell and atoms:
Cell: 7.3224 7.4214 10.4661 Å, 90.00 90.00 90.00°
Space group Imma (No. 74)
Asymmetric unit:
1 Sb 0.2500 0.2500 0.2500
2 W 0.0000 0.0000 0.0000
3 N 0.0000 0.2500 0.6250
4 O 0.0000 0.2500 0.3252
5 O 0.0000 0.2500 0.9439
6 O 0.1866 0.0584 0.1239

Principal peaks in the range 10° ≤ 2θ ≤ 80°, sorted by position:
hkl, 2θ/deg, I/Imax
0 1 1, 14.63, 51
1 0 1, 14.76, 100
1 0 3, 28.29, 73
0 2 2, 29.51, 44
2 0 2, 29.78, 44
2 2 4, 49.35, 28

---

2.
Structure and simulated powder diffractogram of U2MnAs2O24 (a PBE+U-relaxed structure; copper Kα).
Kinematic intensities with the Lorentz-polarization factor, no thermal factor.

Cell and atoms:
Cell: 7.1470 7.1965 11.2003 Å, 102.49 96.16 92.13°
Space group P-1 (No. 2)
Asymmetric unit:
1 U 0.2307 0.2189 0.3991
2 Mn 0.5000 0.0000 0.0000
3 As 0.2515 0.7506 0.4993
4 O 0.0772 0.7419 0.5931
5 O 0.1266 0.3508 0.7878
6 O 0.1994 0.1640 0.2315
7 O 0.1991 0.9116 0.4091
8 O 0.2596 0.4817 0.8236
9 O 0.2647 0.2774 0.5666
10 O 0.2683 0.5323 0.4034
11 O 0.2844 0.1705 0.9802
12 O 0.3038 0.0677 0.8727
13 O 0.3473 0.8301 0.0209
14 O 0.4303 0.4372 0.8135
15 O 0.4579 0.8161 0.5961

Principal peaks in the range 10° ≤ 2θ ≤ 80°, sorted by position:
hkl, 2θ/deg, I/Imax
1 1 0, 18.32, 80
1 0 -2, 19.38, 84
0 1 2, 22.83, 69
0 2 -1, 24.90, 75
2 0 0, 25.09, 100
2 0 -1, 25.45, 84

---

3.
Structure and simulated powder diffractogram of LiVF4 (a PBE+U-relaxed structure; copper Kα).
Kinematic intensities with the Lorentz-polarization factor, no thermal factor.

Cell and atoms:
Cell: 10.4845 9.2993 7.1970 Å, 90.00 109.33 90.00°
Space group C2/m (No. 12)
Asymmetric unit:
1 Li 0.0000 0.2475 0.0000
2 Li 0.2233 0.0000 0.6079
3 V 0.0000 0.3094 0.5000
4 V 0.2111 0.5000 0.8643
5 F 0.0500 0.3500 0.7837
6 F 0.1334 0.1707 0.5205
7 F 0.1375 0.5000 0.5484
8 F 0.1585 0.1458 0.1123
9 F 0.1945 0.5000 0.1178

Principal peaks in the range 10° ≤ 2θ ≤ 80°, sorted by position:
hkl, 2θ/deg, I/Imax
1 1 0, 13.06, 73
1 1 -1, 16.25, 55
2 0 -1, 18.36, 72
0 2 1, 23.18, 36
2 2 0, 26.29, 91
3 3 0, 39.89, 100

---

4.
Structure and simulated powder diffractogram of Li2MnVP3O12 (a PBE+U-relaxed structure; copper Kα).
Kinematic intensities with the Lorentz-polarization factor, no thermal factor.

Cell and atoms:
Cell: 8.2584 8.3293 8.9814 Å, 62.38 88.78 60.57°
Space group P1 (No. 1)
Asymmetric unit:
1 Li 0.0000 0.0000 0.0000
2 Li 0.1814 0.3061 0.5093
3 Li 0.5009 0.5562 0.4966
4 Li 0.7443 0.9924 0.4905
5 Mn 0.3014 0.6428 0.9452
6 Mn 0.5866 0.0825 0.8113
7 V 0.0956 0.0688 0.3270
8 V 0.7831 0.6769 0.4115
9 P 0.1757 0.5902 0.6223
10 P 0.4019 0.8711 0.1241
11 P 0.4760 0.8630 0.6270
12 P 0.6988 0.1592 0.1265
13 P 0.8971 0.1605 0.6209
14 P 0.9842 0.5752 0.1214
15 O 0.0405 0.9775 0.7965
16 O 0.1915 0.5103 0.1130
17 O 0.2129 0.5684 0.7972
18 O 0.2263 0.7509 0.4814
19 O 0.2761 0.0238 0.1896
20 O 0.2761 0.0487 0.4895
21 O 0.2918 0.7799 0.0937
22 O 0.3042 0.3750 0.6294
23 O 0.4367 0.9993 0.9533
24 O 0.4531 0.7272 0.8002
25 O 0.5686 0.3729 0.1127
26 O 0.5719 0.9757 0.6413
27 O 0.5934 0.6811 0.2750
28 O 0.6048 0.7111 0.5579
29 O 0.6650 0.9890 0.2739
30 O 0.6841 0.2386 0.6323
31 O 0.6855 0.1566 0.9565
32 O 0.8301 0.7644 0.9571
33 O 0.9190 0.0747 0.1815
34 O 0.9190 0.0925 0.4821
35 O 0.9200 0.3552 0.5566
36 O 0.9580 0.6818 0.5554
37 O 0.9585 0.6245 0.2762
38 O 0.9773 0.3689 0.1928

Principal peaks in the range 10° ≤ 2θ ≤ 80°, sorted by position:
hkl, 2θ/deg, I/Imax
0 1 0, 14.30, 60
1 1 1, 14.48, 58
1 0 1, 19.43, 50
1 1 -1, 19.92, 100
1 -1 0, 23.91, 45
1 2 0, 24.24, 82

---

What is the formula in the first record? SbWNO6